Nd2DyCu4Sn4: computed powder diffraction line list (CuKα), based on a cell relaxed with PBE.

The 10 most intense peaks (2θ from 10° to 80°), in order of falling intensity:
2θ/deg  I/Imax
33.1  100.0
33.7  94.9
39.6  45.1
32.7  28.9
44.8  25.7
43.3  21.3
68.1  20.6
36.2  19.2
76.4  17.2
60.1  15.7

Structural model:
abc: 8.524 8.524 8.524
angles: 149.03 132.19 58.06
Sites, in units of the cell vectors:
Nd: 0.132 0.132 0.000
Nd: 0.868 0.868 0.000
Dy: 0.500 0.000 0.500
Cu: 0.144 0.330 0.814
Cu: 0.484 0.670 0.814
Cu: 0.516 0.330 0.186
Cu: 0.856 0.670 0.186
Sn: 0.206 0.500 0.706
Sn: 0.286 0.786 0.500
Sn: 0.714 0.214 0.500
Sn: 0.794 0.500 0.294